The following is a theoretical powder X-ray diffraction pattern of AlIr5. It was derived from a crystal structure in Alexandria, relaxed with GGA-PBE, using Cu Kα (weighted mean of Kα1 and Kα2).
Intensities are scaled so that the largest is 100.

Main lines, low angle first (10 to 80 degrees two-theta):
2theta, Rel. int.
37.5, 24
40.9, 37
43.0, 100
43.6, 44
68.7, 16
75.8, 19

Structure:
```
AlIr5
1.0
4.417 0.000 0.000
0.000 1.391 7.060
0.000 -1.391 7.060
Al Ir
1 5
Cartesian
0.000 0.000 0.000 Al
0.000 0.000 4.757 Ir
0.000 0.000 9.362 Ir
2.209 0.000 3.092 Ir
2.209 0.000 7.812 Ir
2.209 0.000 12.538 Ir
```